Record 1
# K3NaW2O8
Calculated powder diffractogram, a wavelength of 1.5418 Å. Input: a structure optimized by DFT (PBE+U).
Lines closer than 0.1° are merged.

Crystal structure
a b c (Å): 10.7715 6.1565 15.5622
angles (deg): 90.00 90.15 90.00
Space group C2/c (No. 15)
Inequivalent atoms, fractional coordinates:
K1 0.0000 0.0641 0.2500 [4 per cell]
K2 0.1705 0.4764 0.5877 [8 per cell]
Na1 0.0000 0.0000 0.0000 [4 per cell]
W1 0.1610 0.4751 0.8623 [8 per cell]
O1 0.0780 0.3192 0.4237 [8 per cell]
O2 0.0796 0.2182 0.8756 [8 per cell]
O3 0.1686 0.4345 0.2515 [8 per cell]
O4 0.1851 0.0453 0.0896 [8 per cell]

Peak list (6 most intense, 10 to 80 degrees two-theta, sorted by position)
- 16.59 deg, 5.345 Å, I 34, hkl 1 1 0
- 20.05 deg, 4.428 Å, I 60, hkl 2 0 2
- 20.15 deg, 4.406 Å, I 100, hkl 1 1 -2
- 22.86 deg, 3.891 Å, I 35, hkl 0 0 4
- 28.39 deg, 3.144 Å, I 41, hkl 1 1 4
- 28.78 deg, 3.102 Å, I 75, hkl 3 1 0

Record 2
# K3NaW2O8
Calculated powder diffractogram, a wavelength of 1.5418 Å. Input: a structure optimized by DFT (PBE+U).
Lines closer than 0.1° are merged.

Crystal structure
a b c (Å): 6.1802 6.1802 7.7970
angles (deg): 90.00 90.00 120.00
Space group P-3m1 (No. 164)
Inequivalent atoms, fractional coordinates:
K1 0.0000 0.0000 0.0000 [1 per cell]
K2 0.3333 0.6667 0.6570 [2 per cell]
Na1 0.0000 0.0000 0.5000 [1 per cell]
W1 0.3333 0.6667 0.2149 [2 per cell]
O1 0.1751 0.3503 0.3009 [6 per cell]
O2 0.3333 0.6667 0.9828 [2 per cell]

Peak list (6 most intense, 10 to 80 degrees two-theta, sorted by position)
- 16.56 deg, 5.352 Å, I 27, hkl 1 0 0
- 20.12 deg, 4.413 Å, I 100, hkl 1 0 1
- 28.32 deg, 3.151 Å, I 45, hkl 0 1 2
- 28.89 deg, 3.090 Å, I 72, hkl 1 1 0
- 38.51 deg, 2.338 Å, I 23, hkl 1 0 3
- 40.90 deg, 2.206 Å, I 28, hkl 2 0 2

What is the formula in the first record?
K3NaW2O8